Structure and simulated XRD peak list of Sc3TlZn (a structure optimized by DFT (PBE); CuKα).
Kinematic intensities with the Lorentz-polarization factor, no thermal factor.

Crystal structure
Cell lengths 4.878, 18.457, 4.880 Å; angles 90.00, 90.00, 90.00 degrees
Space group Cmcm (No. 63)
Inequivalent atoms, fractional coordinates:
Sc1 0.000 0.057 0.250
Sc2 0.000 0.250 0.250
Sc3 0.000 0.443 0.250
Tl1 0.000 0.153 0.750
Zn1 0.000 0.350 0.750

Most intense lines, 2θ = 5–70°, sorted by position:
hkl, 2θ (°), intensity
0 2 0, 9.6, 141
0 4 0, 19.2, 158
0 2 1, 20.6, 167
1 3 0, 23.3, 140
1 1 1, 26.3, 278
1 5 1, 35.6, 1000
2 0 0, 36.8, 462
2 0 2, 53.1, 158
2 10 0, 63.2, 172
3 5 1, 65.6, 319

=====

Structure and simulated XRD peak list of Zr6ScTl (a structure optimized by DFT (PBE); CuKα).
Kinematic intensities with the Lorentz-polarization factor, no thermal factor.

Crystal structure
Cell lengths 5.206, 6.401, 11.086 Å; angles 90.00, 90.00, 90.00 degrees
Space group Amm2 (No. 38)
Inequivalent atoms, fractional coordinates:
Zr1 0.000 0.000 0.000
Zr2 0.000 0.247 0.248
Zr3 0.500 0.000 0.665
Zr4 0.500 0.249 0.416
Sc1 0.000 0.000 0.499
Tl1 0.500 0.000 0.166

Most intense lines, 2θ = 5–70°, sorted by position:
hkl, 2θ (°), intensity
0 1 1, 16.0, 143
1 0 0, 17.0, 51
0 0 4, 32.3, 260
1 2 0, 32.8, 65
2 0 0, 34.5, 262
1 2 2, 36.7, 1000
2 0 4, 47.9, 170
0 4 0, 57.6, 174
3 2 2, 63.2, 198
2 4 0, 68.9, 200

=====

Please write out number 2 again, unchanged.
Structure and simulated XRD peak list of Zr6ScTl (a structure optimized by DFT (PBE); CuKα).
Kinematic intensities with the Lorentz-polarization factor, no thermal factor.

Crystal structure
Cell lengths 5.206, 6.401, 11.086 Å; angles 90.00, 90.00, 90.00 degrees
Space group Amm2 (No. 38)
Inequivalent atoms, fractional coordinates:
Zr1 0.000 0.000 0.000
Zr2 0.000 0.247 0.248
Zr3 0.500 0.000 0.665
Zr4 0.500 0.249 0.416
Sc1 0.000 0.000 0.499
Tl1 0.500 0.000 0.166

Most intense lines, 2θ = 5–70°, sorted by position:
hkl, 2θ (°), intensity
0 1 1, 16.0, 143
1 0 0, 17.0, 51
0 0 4, 32.3, 260
1 2 0, 32.8, 65
2 0 0, 34.5, 262
1 2 2, 36.7, 1000
2 0 4, 47.9, 170
0 4 0, 57.6, 174
3 2 2, 63.2, 198
2 4 0, 68.9, 200